The following is a computed powder diffraction line list of RbMn2F6. It was derived from the PBE+U geometry in Alexandria, using a wavelength of 1.5418 Å.

```
RbMn2F6
1.0
5.5847 0.0000 0.0000
-2.7923 4.8365 0.0000
0.0000 0.0000 5.9685
Rb Mn F
1 2 6
direct
0.0000 0.0000 0.0000
0.3333 0.6667 0.5000
0.6667 0.3333 0.5000
0.0000 0.3874 0.3142
0.0000 0.6126 0.6858
0.3874 0.0000 0.3142
0.3874 0.3874 0.6858
0.6126 0.0000 0.6858
0.6126 0.6126 0.3142
```

The 8 most intense peaks (2θ from 10° to 80°), sorted by position:
d [Å]  I_rel
5.968  14
3.758  100
2.792  21
2.529  10
2.241  16
2.039  45
1.748  21
1.612  13